No. 1
# MnInNiRh
Theoretical X-ray diffraction stick pattern, Cu Kα, 1.54184 Å. Input: a DFT-relaxed cell (GGA-PBE, Alexandria).
No peak broadening, texture or thermal motion is included.

Top 8 peaks for 10 to 90 degrees two-theta, sorted by position:
2theta  d/Å  I/Imax  h k l
24.86  3.582  11.3  1 1 1
41.15  2.194  100.0  2 2 0
48.68  1.871  5.7  3 1 1
59.61  1.551  15.9  4 0 0
65.59  1.423  2.4  3 3 1
75.00  1.266  31.4  4 2 2
80.43  1.194  1.9  5 1 1
89.32  1.097  10.2  4 4 0

Crystal structure
```
data_MnInNiRh
_symmetry_space_group_name_H-M 'F -4 3 m'
_symmetry_Int_Tables_number 216
_symmetry_space_group_name_Hall 'F -4 2 3'
_cell_length_a 6.204
_cell_length_b 6.204
_cell_length_c 6.204
_cell_angle_alpha 90.00
_cell_angle_beta 90.00
_cell_angle_gamma 90.00
loop_
_atom_site_label
_atom_site_fract_x
_atom_site_fract_y
_atom_site_fract_z
Mn1 0.000 0.000 0.000
In1 0.000 0.000 0.500
Ni1 0.250 0.250 0.250
Rh1 0.250 0.250 0.750
```



No. 2
# TbCe3Pt4
Theoretical X-ray diffraction stick pattern, Cu Kα, 1.54184 Å. Input: a DFT-relaxed cell (GGA-PBE, Alexandria).
No peak broadening, texture or thermal motion is included.

Top 10 peaks for 10 to 90 degrees two-theta, sorted by position:
2theta  d/Å  I/Imax  h k l
26.49  3.365  3.7  2 0 0
30.68  2.914  100.0  1 2 1
43.94  2.061  75.4  2 0 2
52.04  1.757  2.0  3 2 1
54.54  1.682  26.7  4 0 0
63.89  1.457  12.5  2 4 2
70.42  1.337  0.9  2 4 -4
72.53  1.303  34.4  4 4 0
80.76  1.190  19.4  5 2 1
80.84  1.189  6.5  1 2 5

Crystal structure
```
data_TbCe3Pt4
_symmetry_space_group_name_H-M 'P 1 2/c 1'
_symmetry_Int_Tables_number 13
_cell_length_a 7.142
_cell_length_b 8.243
_cell_length_c 7.133
_cell_angle_alpha 90.00
_cell_angle_beta 109.47
_cell_angle_gamma 90.00
loop_
_symmetry_equiv_pos_as_xyz
'x,y,z'
'-x,-y,-z'
'-x,y,-z+1/2'
'x,-y,z+1/2'
loop_
_atom_site_label
_atom_site_fract_x
_atom_site_fract_y
_atom_site_fract_z
Tb1 0.000 0.126 0.250
Ce1 0.000 0.374 0.750
Ce2 0.500 0.125 0.750
Ce3 0.500 0.373 0.250
Pt1 0.251 0.125 0.000
Pt2 0.251 0.376 0.501
```